Diffraction record for Hg2AsP. The PXRD pattern is theoretical, not measured: it uses the PBE geometry in Alexandria and copper Kα.
Intensities are scaled so that the largest is 100.

Main lines, by angle (10° ≤ 2θ ≤ 90°):
- 11.67°, rel. 44
- 26.56°, rel. 42
- 28.53°, rel. 34
- 31.20°, rel. 100
- 32.05°, rel. 51
- 34.17°, rel. 29
- 45.10°, rel. 37
- 45.57°, rel. 34

Cell and atoms:
a = 7.733 Å, b = 3.422 Å, c = 7.596 Å
α = 90.00°, β = 93.56°, γ = 90.00°
Sites, in units of the cell vectors:
1 Hg 0.000 0.000 0.000
2 Hg 0.232 0.000 0.716
3 Hg 0.500 0.500 0.000
4 Hg 0.732 0.500 0.716
5 As 0.292 0.500 0.289
6 As 0.792 0.000 0.289
7 P 0.438 0.000 0.445
8 P 0.938 0.500 0.445



Diffraction record for HgBiSbPb4. The PXRD pattern is theoretical, not measured: it uses the PBE geometry in Alexandria and copper Kα.
Intensities are scaled so that the largest is 100.

Main lines, by angle (10° ≤ 2θ ≤ 90°):
- 28.04°, rel. 80
- 28.76°, rel. 75
- 29.43°, rel. 100
- 30.29°, rel. 59
- 32.57°, rel. 66
- 33.14°, rel. 44
- 33.43°, rel. 67
- 37.06°, rel. 74

Cell and atoms:
a = 7.716 Å, b = 6.738 Å, c = 9.552 Å
α = 90.00°, β = 112.10°, γ = 90.00°
Sites, in units of the cell vectors:
1 Hg 0.029 0.250 0.119
2 Hg 0.971 0.750 0.881
3 Bi 0.396 0.250 0.077
4 Bi 0.604 0.750 0.923
5 Sb 0.215 0.750 0.433
6 Sb 0.785 0.250 0.567
7 Pb 0.215 0.003 0.729
8 Pb 0.215 0.497 0.729
9 Pb 0.344 0.250 0.456
10 Pb 0.349 0.750 0.153
11 Pb 0.651 0.250 0.847
12 Pb 0.656 0.750 0.544
13 Pb 0.785 0.503 0.271
14 Pb 0.785 0.997 0.271



Diffraction record for K2U3ZnO12. The PXRD pattern is theoretical, not measured: it uses the PBE geometry in Alexandria and copper Kα.
Intensities are scaled so that the largest is 100.

Main lines, by angle (10° ≤ 2θ ≤ 90°):
- 13.71°, rel. 89
- 14.91°, rel. 86
- 26.19°, rel. 93
- 26.86°, rel. 60
- 27.62°, rel. 100
- 32.74°, rel. 36
- 45.32°, rel. 40
- 55.36°, rel. 36

Cell and atoms:
a = 7.526 Å, b = 7.526 Å, c = 7.526 Å
α = 64.25°, β = 64.25°, γ = 64.25°
Sites, in units of the cell vectors:
1 K 0.153 0.153 0.153
2 K 0.847 0.847 0.847
3 U 0.000 0.500 0.500
4 U 0.500 0.000 0.500
5 U 0.500 0.500 0.000
6 Zn 0.500 0.500 0.500
7 O 0.180 0.180 0.552
8 O 0.180 0.552 0.180
9 O 0.185 0.563 0.563
10 O 0.437 0.437 0.815
11 O 0.437 0.815 0.437
12 O 0.448 0.820 0.820
13 O 0.552 0.180 0.180
14 O 0.563 0.185 0.563
15 O 0.563 0.563 0.185
16 O 0.815 0.437 0.437
17 O 0.820 0.448 0.820
18 O 0.820 0.820 0.448



Diffraction record for K4Rb3Se. The PXRD pattern is theoretical, not measured: it uses the PBE geometry in Alexandria and copper Kα.
Intensities are scaled so that the largest is 100.

Main lines, by angle (10° ≤ 2θ ≤ 90°):
- 11.60°, rel. 53
- 14.84°, rel. 76
- 22.15°, rel. 73
- 22.79°, rel. 52
- 24.21°, rel. 52
- 27.21°, rel. 100
- 28.52°, rel. 70
- 35.22°, rel. 54

Cell and atoms:
a = 8.027 Å, b = 14.705 Å, c = 8.928 Å
α = 90.00°, β = 90.00°, γ = 90.00°
Sites, in units of the cell vectors:
1 K 0.002 0.250 0.021
2 K 0.250 0.111 0.602
3 K 0.250 0.389 0.602
4 K 0.498 0.250 0.021
5 K 0.502 0.750 0.979
6 K 0.750 0.611 0.398
7 K 0.750 0.889 0.398
8 K 0.998 0.750 0.979
9 Rb 0.250 0.023 0.178
10 Rb 0.250 0.477 0.178
11 Rb 0.250 0.750 0.545
12 Rb 0.750 0.250 0.455
13 Rb 0.750 0.523 0.822
14 Rb 0.750 0.977 0.822
15 Se 0.250 0.250 0.311
16 Se 0.750 0.750 0.689



Diffraction record for TcTePI2. The PXRD pattern is theoretical, not measured: it uses the PBE geometry in Alexandria and copper Kα.
Intensities are scaled so that the largest is 100.

Main lines, by angle (10° ≤ 2θ ≤ 90°):
- 16.47°, rel. 80
- 17.32°, rel. 37
- 29.24°, rel. 100
- 33.30°, rel. 98
- 35.05°, rel. 42
- 47.80°, rel. 35
- 49.12°, rel. 64
- 60.64°, rel. 34

Cell and atoms:
a = 5.382 Å, b = 5.382 Å, c = 5.121 Å
α = 90.00°, β = 90.00°, γ = 90.00°
Sites, in units of the cell vectors:
1 Tc 0.000 0.000 0.000
2 Te 0.000 0.000 0.500
3 P 0.500 0.500 0.500
4 I 0.000 0.500 0.000
5 I 0.500 0.000 0.000



Diffraction record for Hf2ScTe6. The PXRD pattern is theoretical, not measured: it uses the PBE geometry in Alexandria and copper Kα.
Intensities are scaled so that the largest is 100.

Main lines, by angle (10° ≤ 2θ ≤ 90°):
- 18.10°, rel. 68
- 28.43°, rel. 100
- 28.80°, rel. 32
- 36.37°, rel. 74
- 36.66°, rel. 45
- 45.07°, rel. 57
- 58.83°, rel. 23
- 77.78°, rel. 25

Cell and atoms:
a = 6.933 Å, b = 6.933 Å, c = 12.261 Å
α = 90.00°, β = 90.00°, γ = 90.00°
Sites, in units of the cell vectors:
1 Hf 0.000 0.000 0.166
2 Hf 0.000 0.000 0.834
3 Hf 0.500 0.500 0.334
4 Hf 0.500 0.500 0.666
5 Sc 0.000 0.000 0.500
6 Sc 0.500 0.500 0.000
7 Te 0.202 0.202 0.000
8 Te 0.204 0.204 0.331
9 Te 0.204 0.204 0.669
10 Te 0.296 0.704 0.169
11 Te 0.296 0.704 0.831
12 Te 0.298 0.702 0.500
13 Te 0.702 0.298 0.500
14 Te 0.704 0.296 0.169
15 Te 0.704 0.296 0.831
16 Te 0.796 0.796 0.331
17 Te 0.796 0.796 0.669
18 Te 0.798 0.798 0.000



Diffraction record for DySiSb. The PXRD pattern is theoretical, not measured: it uses the PBE geometry in Alexandria and copper Kα.
Intensities are scaled so that the largest is 100.

Main lines, by angle (10° ≤ 2θ ≤ 90°):
- 26.11°, rel. 95
- 29.26°, rel. 17
- 37.26°, rel. 100
- 46.06°, rel. 23
- 55.51°, rel. 15
- 60.68°, rel. 25
- 62.34°, rel. 15
- 67.19°, rel. 22

Cell and atoms:
a = 6.826 Å, b = 6.826 Å, c = 6.826 Å
α = 90.00°, β = 90.00°, γ = 90.00°
Sites, in units of the cell vectors:
1 Dy 0.029 0.029 0.029
2 Dy 0.471 0.971 0.529
3 Dy 0.529 0.471 0.971
4 Dy 0.971 0.529 0.471
5 Si 0.215 0.285 0.715
6 Si 0.285 0.715 0.215
7 Si 0.715 0.215 0.285
8 Si 0.785 0.785 0.785
9 Sb 0.019 0.519 0.981
10 Sb 0.481 0.481 0.481
11 Sb 0.519 0.981 0.019
12 Sb 0.981 0.019 0.519



Diffraction record for TbSm3Sn2. The PXRD pattern is theoretical, not measured: it uses the PBE geometry in Alexandria and copper Kα.
Intensities are scaled so that the largest is 100.

Main lines, by angle (10° ≤ 2θ ≤ 90°):
- 20.61°, rel. 39
- 24.41°, rel. 28
- 31.84°, rel. 100
- 33.72°, rel. 25
- 34.63°, rel. 44
- 35.92°, rel. 19
- 50.95°, rel. 19
- 63.18°, rel. 29

Cell and atoms:
a = 9.085 Å, b = 9.085 Å, c = 9.085 Å
α = 132.68°, β = 71.80°, γ = 129.38°
Sites, in units of the cell vectors:
1 Tb 0.000 0.000 0.000
2 Tb 0.500 0.500 0.000
3 Sm 0.038 0.250 0.788
4 Sm 0.250 0.750 0.500
5 Sm 0.462 0.250 0.212
6 Sm 0.538 0.750 0.788
7 Sm 0.750 0.250 0.500
8 Sm 0.962 0.750 0.212
9 Sn 0.142 0.683 0.824
10 Sn 0.358 0.183 0.541
11 Sn 0.642 0.817 0.459
12 Sn 0.858 0.317 0.176



Diffraction record for NaRe3O12. The PXRD pattern is theoretical, not measured: it uses the PBE geometry in Alexandria and copper Kα.
Intensities are scaled so that the largest is 100.

Main lines, by angle (10° ≤ 2θ ≤ 90°):
- 12.93°, rel. 26
- 18.25°, rel. 15
- 21.50°, rel. 100
- 22.43°, rel. 16
- 22.65°, rel. 28
- 28.30°, rel. 31
- 34.00°, rel. 14
- 39.09°, rel. 19

Cell and atoms:
a = 9.652 Å, b = 9.652 Å, c = 9.652 Å
α = 60.47°, β = 60.47°, γ = 60.47°
Sites, in units of the cell vectors:
1 Na 0.000 0.000 0.000
2 Na 0.500 0.500 0.500
3 Re 0.115 0.886 0.414
4 Re 0.386 0.615 0.914
5 Re 0.414 0.115 0.886
6 Re 0.615 0.914 0.386
7 Re 0.886 0.414 0.115
8 Re 0.914 0.386 0.615
9 O 0.026 0.925 0.271
10 O 0.079 0.460 0.460
11 O 0.170 0.720 0.993
12 O 0.220 0.670 0.493
13 O 0.267 0.990 0.303
14 O 0.271 0.026 0.925
15 O 0.303 0.267 0.990
16 O 0.425 0.526 0.771
17 O 0.460 0.079 0.460
18 O 0.460 0.460 0.079
19 O 0.490 0.767 0.803
20 O 0.493 0.220 0.670
21 O 0.526 0.771 0.425
22 O 0.579 0.960 0.960
23 O 0.670 0.493 0.220
24 O 0.720 0.993 0.170
25 O 0.767 0.803 0.490
26 O 0.771 0.425 0.526
27 O 0.803 0.490 0.767
28 O 0.925 0.271 0.026
29 O 0.960 0.579 0.960
30 O 0.960 0.960 0.579
31 O 0.990 0.303 0.267
32 O 0.993 0.170 0.720



Diffraction record for Ca2Ga5Ir2Pd. The PXRD pattern is theoretical, not measured: it uses the PBE geometry in Alexandria and copper Kα.
Intensities are scaled so that the largest is 100.

Main lines, by angle (10° ≤ 2θ ≤ 90°):
- 19.96°, rel. 57
- 35.04°, rel. 12
- 37.35°, rel. 100
- 40.64°, rel. 59
- 43.73°, rel. 19
- 46.56°, rel. 11
- 48.74°, rel. 18
- 52.01°, rel. 11

Cell and atoms:
a = 9.947 Å, b = 9.947 Å, c = 3.737 Å
α = 90.00°, β = 90.00°, γ = 90.00°
Sites, in units of the cell vectors:
1 Ca 0.179 0.321 0.000
2 Ca 0.321 0.821 0.000
3 Ca 0.679 0.179 0.000
4 Ca 0.821 0.679 0.000
5 Ga 0.000 0.500 0.500
6 Ga 0.059 0.803 0.500
7 Ga 0.197 0.059 0.500
8 Ga 0.303 0.559 0.500
9 Ga 0.441 0.303 0.500
10 Ga 0.500 0.000 0.500
11 Ga 0.559 0.697 0.500
12 Ga 0.697 0.441 0.500
13 Ga 0.803 0.941 0.500
14 Ga 0.941 0.197 0.500
15 Ir 0.121 0.621 0.000
16 Ir 0.379 0.121 0.000
17 Ir 0.621 0.879 0.000
18 Ir 0.879 0.379 0.000
19 Pd 0.000 0.000 0.000
20 Pd 0.500 0.500 0.000



Diffraction record for HoMgBiTe. The PXRD pattern is theoretical, not measured: it uses the PBE geometry in Alexandria and copper Kα.
Intensities are scaled so that the largest is 100.

Main lines, by angle (10° ≤ 2θ ≤ 90°):
- 23.15°, rel. 100
- 32.08°, rel. 87
- 36.91°, rel. 86
- 40.11°, rel. 29
- 47.48°, rel. 22
- 49.69°, rel. 26
- 58.79°, rel. 29
- 63.48°, rel. 25

Cell and atoms:
a = 12.714 Å, b = 12.714 Å, c = 12.714 Å
α = 22.09°, β = 22.09°, γ = 22.09°
Sites, in units of the cell vectors:
1 Ho 0.107 0.107 0.107
2 Ho 0.893 0.893 0.893
3 Mg 0.306 0.306 0.306
4 Mg 0.694 0.694 0.694
5 Bi 0.387 0.387 0.387
6 Bi 0.613 0.613 0.613
7 Te 0.197 0.197 0.197
8 Te 0.803 0.803 0.803



Diffraction record for Th4As3Se. The PXRD pattern is theoretical, not measured: it uses the PBE geometry in Alexandria and copper Kα.
Intensities are scaled so that the largest is 100.

Main lines, by angle (10° ≤ 2θ ≤ 90°):
- 25.72°, rel. 43
- 29.78°, rel. 100
- 42.62°, rel. 51
- 50.41°, rel. 15
- 52.76°, rel. 14
- 52.96°, rel. 14
- 70.15°, rel. 24
- 77.89°, rel. 13

Cell and atoms:
a = 4.253 Å, b = 6.001 Å, c = 8.461 Å
α = 90.00°, β = 90.00°, γ = 90.00°
Sites, in units of the cell vectors:
1 Th 0.000 0.000 0.000
2 Th 0.000 0.000 0.500
3 Th 0.500 0.500 0.246
4 Th 0.500 0.500 0.754
5 As 0.000 0.500 0.000
6 As 0.500 0.000 0.251
7 As 0.500 0.000 0.749
8 Se 0.000 0.500 0.500